Calculated powder XRD pattern of Li2Mn3SbO8 for copper Kα, from a structure optimized by DFT (GGA+U).

Structural model:
Unit cell a=6.0241 b=6.0241 c=9.7983 alpha=90.00 beta=90.00 gamma=120.00
Fractional positions:
Li 0.0000 0.0000 0.0000
Li 0.0000 0.0000 0.5000
Li 0.3333 0.6667 0.4204
Li 0.6667 0.3333 0.9204
Mn 0.1597 0.8210 0.7270
Mn 0.1790 0.3387 0.7270
Mn 0.3387 0.1790 0.2270
Mn 0.6613 0.8403 0.7270
Mn 0.8210 0.1597 0.2270
Mn 0.8403 0.6613 0.2270
Sb 0.3333 0.6667 0.9988
Sb 0.6667 0.3333 0.4988
O 0.0000 0.0000 0.3100
O 0.0000 0.0000 0.8100
O 0.0363 0.4793 0.8637
O 0.1436 0.8084 0.1046
O 0.1916 0.3352 0.1046
O 0.3333 0.6667 0.6315
O 0.3352 0.1916 0.6046
O 0.4431 0.9637 0.8637
O 0.4793 0.0363 0.3637
O 0.5207 0.5569 0.8637
O 0.5569 0.5207 0.3637
O 0.6648 0.8564 0.1046
O 0.6667 0.3333 0.1315
O 0.8084 0.1436 0.6046
O 0.8564 0.6648 0.6046
O 0.9637 0.4431 0.3637

The 6 most intense peaks (2θ from 10° to 90°), by angle:
2θ 19.3, I = 100
2θ 24.9, I = 32
2θ 32.3, I = 37
2θ 35.0, I = 48
2θ 35.6, I = 28
2θ 44.4, I = 29